Record 1
Li2SnB2O6: computed XRD peak list (Cu Kα X-rays), based on a DFT-relaxed cell (PBE, Alexandria).

Structural model:
```
Li2SnB2O6
1.0
5.342 0.000 0.000
0.145 8.699 0.000
0.569 0.163 10.833
Li Sn B O
8 4 8 24
direct
0.000 0.000 0.000
0.010 0.014 0.535
0.034 0.510 0.369
0.047 0.846 0.758
0.298 0.906 0.248
0.483 0.116 0.030
0.633 0.519 0.194
0.669 0.407 0.634
0.058 0.661 0.050
0.268 0.256 0.789
0.505 0.762 0.533
0.782 0.161 0.286
0.302 0.616 0.783
0.331 0.257 0.284
0.504 0.117 0.542
0.509 0.778 0.047
0.812 0.805 0.287
0.815 0.159 0.800
0.963 0.676 0.538
0.989 0.303 0.047
0.014 0.055 0.817
0.085 0.299 0.310
0.098 0.654 0.863
0.198 0.638 0.493
0.209 0.268 0.981
0.309 0.883 0.050
0.363 0.984 0.540
0.385 0.743 0.714
0.404 0.473 0.764
0.408 0.110 0.246
0.416 0.239 0.609
0.437 0.627 0.075
0.528 0.355 0.299
0.573 0.795 0.341
0.575 0.128 0.842
0.734 0.129 0.476
0.758 0.818 0.028
0.769 0.575 0.519
0.844 0.179 0.094
0.883 0.818 0.586
0.894 0.299 0.748
0.905 0.449 0.075
0.933 0.673 0.240
0.942 0.942 0.278
```

The 10 most intense peaks (2θ = 10–80°), by angle:
Position (°2θ)  I/Imax
18.15  100
19.17  83
19.43  72
20.42  67
21.46  25
21.60  26
27.16  25
30.63  24
33.08  46
35.02  29


Record 2
Sm2Ga3Cu: computed XRD peak list (Cu Kα X-rays), based on a DFT-relaxed cell (PBE, Alexandria).

Structural model:
```
Sm2Ga3Cu
1.0
4.425 0.000 0.000
-2.213 3.832 0.000
0.000 0.000 7.480
Sm Ga Cu
2 3 1
direct
0.000 0.000 0.000
0.000 0.000 0.471
0.333 0.667 0.220
0.333 0.667 0.779
0.667 0.333 0.694
0.667 0.333 0.263
```

The 10 most intense peaks (2θ = 10–80°), by angle:
Position (°2θ)  I/Imax
23.21  16
33.48  100
40.78  55
43.29  8
48.69  7
53.75  26
54.61  5
65.34  17
69.61  23
74.24  9


Record 3
NaGaH4: computed XRD peak list (Cu Kα X-rays), based on a DFT-relaxed cell (PBE, Alexandria).

Structural model:
```
NaGaH4
1.0
3.470 -3.160 0.000
3.470 3.160 0.000
0.000 0.000 7.042
Na Ga H
2 2 8
direct
0.156 0.844 0.750
0.844 0.156 0.250
0.342 0.658 0.250
0.658 0.342 0.750
0.190 0.810 0.069
0.190 0.810 0.431
0.306 0.323 0.250
0.323 0.306 0.750
0.677 0.694 0.250
0.694 0.677 0.750
0.810 0.190 0.569
0.810 0.190 0.931
```

The 10 most intense peaks (2θ = 10–80°), by angle:
Position (°2θ)  I/Imax
18.99  28
22.84  93
25.30  100
25.67  96
31.02  96
36.35  69
40.69  90
48.30  28
55.49  36
62.47  24


Record 4
FePt6Rh: computed XRD peak list (Cu Kα X-rays), based on a DFT-relaxed cell (PBE, Alexandria).

Structural model:
```
FePt6Rh
1.0
5.584 0.000 0.000
0.000 5.584 0.000
0.000 0.000 3.886
Fe Pt Rh
1 6 1
direct
0.000 0.000 0.000
0.000 0.500 0.000
0.247 0.247 0.500
0.247 0.753 0.500
0.500 0.000 0.000
0.753 0.247 0.500
0.753 0.753 0.500
0.500 0.500 0.000
```

The 10 most intense peaks (2θ = 10–80°), by angle:
Position (°2θ)  I/Imax
22.52  6
22.89  3
32.06  2
32.32  5
39.75  100
45.97  33
46.75  16
57.31  2
67.04  11
67.66  21